Entry 1:
Diffraction record for CsInOsO6. The X-ray diffraction stick pattern is simulated, not measured: it uses DFT lattice parameters and positions (GGA-PBE) and Cu Kα, 1.54184 Å.

Most intense lines, 2θ = 5–70°, by intensity:
d/Å  I_rel
3.883  100
2.119  45
2.795  37
6.498  31
1.762  20
1.614  20

Cell and atoms:
```
data_CsInOsO6
_chemical_formula_sum 'Cs1 In1 Os1 O6'
_symmetry_space_group_name_H-M 'P 1'
_symmetry_Int_Tables_number 1
_cell_length_a 5.591
_cell_length_b 5.591
_cell_length_c 6.498
_cell_angle_alpha 90.00
_cell_angle_beta 90.00
_cell_angle_gamma 120.00
loop_
_symmetry_equiv_pos_as_xyz
'x,y,z'
loop_
_atom_site_label
_atom_site_type_symbol
_atom_site_fract_x
_atom_site_fract_y
_atom_site_fract_z
_atom_site_occupancy
Cs1 Cs 0.000 0.000 0.000 1
In1 In 0.333 0.667 0.500 1
Os1 Os 0.667 0.333 0.500 1
O1 O 0.424 0.040 0.671 1
O2 O 0.424 0.383 0.329 1
O3 O 0.617 0.040 0.329 1
O4 O 0.617 0.576 0.671 1
O5 O 0.960 0.383 0.671 1
O6 O 0.960 0.576 0.329 1
```

---

Entry 2:
Diffraction record for CsInP2O7. The X-ray diffraction stick pattern is simulated, not measured: it uses DFT lattice parameters and positions (GGA-PBE) and Cu Kα, 1.54184 Å.

Most intense lines, 2θ = 5–70°, by intensity:
d/Å  I_rel
3.193  100
3.111  49
3.795  25
3.885  23
3.125  20
3.648  16

Cell and atoms:
```
data_CsInP2O7
_chemical_formula_sum 'Cs4 In4 P8 O28'
_symmetry_space_group_name_H-M 'P 1'
_symmetry_Int_Tables_number 1
_cell_length_a 7.851
_cell_length_b 10.562
_cell_length_c 8.753
_cell_angle_alpha 90.00
_cell_angle_beta 104.82
_cell_angle_gamma 90.00
loop_
_symmetry_equiv_pos_as_xyz
'x,y,z'
loop_
_atom_site_label
_atom_site_type_symbol
_atom_site_fract_x
_atom_site_fract_y
_atom_site_fract_z
_atom_site_occupancy
Cs1 Cs 0.195 0.195 0.046 1
Cs2 Cs 0.195 0.305 0.546 1
Cs3 Cs 0.805 0.695 0.454 1
Cs4 Cs 0.805 0.805 0.954 1
In1 In 0.239 0.602 0.257 1
In2 In 0.239 0.898 0.757 1
In3 In 0.761 0.102 0.243 1
In4 In 0.761 0.398 0.743 1
P1 P 0.131 0.594 0.829 1
P2 P 0.131 0.906 0.329 1
P3 P 0.426 0.628 0.683 1
P4 P 0.426 0.872 0.183 1
P5 P 0.574 0.128 0.817 1
P6 P 0.574 0.372 0.317 1
P7 P 0.869 0.094 0.671 1
P8 P 0.869 0.406 0.171 1
O1 O 0.000 0.001 0.230 1
O2 O 0.000 0.499 0.730 1
O3 O 0.000 0.501 0.270 1
O4 O 0.000 0.999 0.770 1
O5 O 0.083 0.729 0.765 1
O6 O 0.083 0.771 0.265 1
O7 O 0.151 0.582 0.005 1
O8 O 0.151 0.918 0.505 1
O9 O 0.320 0.600 0.515 1
O10 O 0.320 0.900 0.015 1
O11 O 0.322 0.557 0.799 1
O12 O 0.322 0.943 0.299 1
O13 O 0.389 0.071 0.772 1
O14 O 0.389 0.429 0.272 1
O15 O 0.442 0.731 0.227 1
O16 O 0.442 0.769 0.727 1
O17 O 0.558 0.231 0.273 1
O18 O 0.558 0.269 0.773 1
O19 O 0.611 0.571 0.728 1
O20 O 0.611 0.929 0.228 1
O21 O 0.678 0.057 0.701 1
O22 O 0.678 0.443 0.201 1
O23 O 0.680 0.100 0.985 1
O24 O 0.680 0.400 0.485 1
O25 O 0.849 0.082 0.495 1
O26 O 0.849 0.418 0.995 1
O27 O 0.917 0.229 0.735 1
O28 O 0.917 0.271 0.235 1
```

---

Entry 3:
Diffraction record for Cs4Pa3InO12. The X-ray diffraction stick pattern is simulated, not measured: it uses DFT lattice parameters and positions (GGA-PBE) and Cu Kα, 1.54184 Å.

Most intense lines, 2θ = 5–70°, by intensity:
d/Å  I_rel
3.146  100
1.816  42
2.225  28
1.407  19
1.573  18
4.449  9

Cell and atoms:
```
data_Cs4Pa3InO12
_chemical_formula_sum 'Cs4 Pa3 In1 O12'
_symmetry_space_group_name_H-M 'P 1'
_symmetry_Int_Tables_number 1
_cell_length_a 7.706
_cell_length_b 7.706
_cell_length_c 7.706
_cell_angle_alpha 109.47
_cell_angle_beta 109.47
_cell_angle_gamma 109.47
loop_
_symmetry_equiv_pos_as_xyz
'x,y,z'
loop_
_atom_site_label
_atom_site_type_symbol
_atom_site_fract_x
_atom_site_fract_y
_atom_site_fract_z
_atom_site_occupancy
Cs1 Cs 0.000 0.000 0.500 1
Cs2 Cs 0.000 0.500 0.000 1
Cs3 Cs 0.500 0.000 0.000 1
Cs4 Cs 0.500 0.500 0.500 1
Pa1 Pa 0.000 0.500 0.500 1
Pa2 Pa 0.500 0.000 0.500 1
Pa3 Pa 0.500 0.500 0.000 1
In1 In 0.000 0.000 0.000 1
O1 O 0.000 0.260 0.260 1
O2 O 0.000 0.740 0.740 1
O3 O 0.250 0.500 0.750 1
O4 O 0.250 0.750 0.500 1
O5 O 0.260 0.000 0.260 1
O6 O 0.260 0.260 0.000 1
O7 O 0.500 0.250 0.750 1
O8 O 0.500 0.750 0.250 1
O9 O 0.740 0.000 0.740 1
O10 O 0.740 0.740 0.000 1
O11 O 0.750 0.250 0.500 1
O12 O 0.750 0.500 0.250 1
```

---

Entry 4:
Diffraction record for Cs2PaInO6. The X-ray diffraction stick pattern is simulated, not measured: it uses DFT lattice parameters and positions (GGA-PBE) and Cu Kα, 1.54184 Å.

Most intense lines, 2θ = 5–70°, by intensity:
d/Å  I_rel
3.125  100
3.157  52
1.816  43
2.232  30
1.799  20
1.563  18

Cell and atoms:
```
data_Cs2PaInO6
_chemical_formula_sum 'Cs2 Pa1 In1 O6'
_symmetry_space_group_name_H-M 'P 1'
_symmetry_Int_Tables_number 1
_cell_length_a 4.464
_cell_length_b 4.464
_cell_length_c 8.754
_cell_angle_alpha 90.00
_cell_angle_beta 90.00
_cell_angle_gamma 90.00
loop_
_symmetry_equiv_pos_as_xyz
'x,y,z'
loop_
_atom_site_label
_atom_site_type_symbol
_atom_site_fract_x
_atom_site_fract_y
_atom_site_fract_z
_atom_site_occupancy
Cs1 Cs 0.000 0.000 0.239 1
Cs2 Cs 0.000 0.000 0.761 1
Pa1 Pa 0.500 0.500 0.500 1
In1 In 0.500 0.500 0.000 1
O1 O 0.000 0.500 0.000 1
O2 O 0.000 0.500 0.500 1
O3 O 0.500 0.000 0.000 1
O4 O 0.500 0.000 0.500 1
O5 O 0.500 0.500 0.258 1
O6 O 0.500 0.500 0.742 1
```

---

Q: Which formula does entry 4 have?
A: Cs2PaInO6

---

Q: Number 2 is which compound?
A: CsInP2O7